No. 1
The following is a calculated powder XRD pattern of Ac6LaCo2. It was derived from a structure optimized by DFT (PBE), using Cu Kα (λ = 1.5418 Å).
Intensities are scaled so that the largest is 100.

Most intense lines, 2θ from 10° to 90°, sorted by position:
d (Å)	Position (°2θ)	I_rel
3.416	26.08	36
3.304	26.99	100
3.228	27.63	25
3.114	28.67	29
2.556	35.11	19
2.533	35.44	33
2.180	41.42	29
1.950	46.58	23
1.819	50.15	24
1.316	71.69	18

Crystal structure
```
Ac6LaCo2
1.0
3.774 2.179 6.832
-3.774 2.179 6.832
0.000 -4.358 6.832
Ac La Co
6 1 2
direct
0.000 0.444 0.556 Ac
0.171 0.817 0.523 Ac
0.444 0.556 0.000 Ac
0.523 0.171 0.817 Ac
0.556 0.000 0.444 Ac
0.817 0.523 0.171 Ac
0.036 0.036 0.036 La
0.425 0.425 0.425 Co
0.574 0.574 0.574 Co
```

***

No. 2
The following is a calculated powder XRD pattern of AcLa3Co. It was derived from a structure optimized by DFT (PBE), using Cu Kα (λ = 1.5418 Å).
Intensities are scaled so that the largest is 100.

Most intense lines, 2θ from 10° to 90°, sorted by position:
d (Å)	Position (°2θ)	I_rel
3.385	26.33	13
3.250	27.44	32
3.025	29.53	100
2.977	30.02	50
2.354	38.23	14
1.965	46.19	23
1.949	46.61	11
1.842	49.47	12
1.808	50.48	11
1.691	54.24	12

Crystal structure
```
AcLa3Co
1.0
10.033 0.000 0.000
0.000 6.828 0.000
-1.845 0.000 10.104
Ac La Co
4 12 4
direct
0.068 0.079 0.182 Ac
0.068 0.421 0.682 Ac
0.932 0.579 0.318 Ac
0.932 0.921 0.818 Ac
0.179 0.589 0.048 La
0.179 0.911 0.548 La
0.315 0.071 0.928 La
0.315 0.429 0.428 La
0.444 0.577 0.823 La
0.444 0.923 0.323 La
0.556 0.077 0.677 La
0.556 0.423 0.177 La
0.685 0.571 0.572 La
0.685 0.929 0.072 La
0.821 0.089 0.452 La
0.821 0.411 0.952 La
0.422 0.740 0.569 Co
0.422 0.760 0.069 Co
0.578 0.240 0.931 Co
0.578 0.260 0.431 Co
```

***

No. 3
The following is a calculated powder XRD pattern of Ac4LaCo2. It was derived from a structure optimized by DFT (PBE), using Cu Kα (λ = 1.5418 Å).
Intensities are scaled so that the largest is 100.

Most intense lines, 2θ from 10° to 90°, sorted by position:
d (Å)	Position (°2θ)	I_rel
3.438	25.92	38
3.342	26.67	89
3.312	26.92	46
3.144	28.39	52
3.103	28.77	71
2.885	31.00	36
2.847	31.42	100
2.825	31.67	36
2.598	34.53	45
1.814	50.29	36

Crystal structure
```
Ac4LaCo2
1.0
7.445 0.000 0.000
0.000 7.254 0.000
-3.571 0.000 8.600
Ac La Co
8 2 4
direct
0.173 0.250 0.007 Ac
0.215 0.503 0.421 Ac
0.215 0.997 0.421 Ac
0.271 0.750 0.794 Ac
0.729 0.250 0.206 Ac
0.785 0.003 0.579 Ac
0.785 0.497 0.579 Ac
0.827 0.750 0.993 Ac
0.490 0.250 0.779 La
0.510 0.750 0.221 La
0.147 0.250 0.668 Co
0.481 0.250 0.355 Co
0.519 0.750 0.645 Co
0.853 0.750 0.332 Co
```

***

No. 4
The following is a calculated powder XRD pattern of AcLaCo. It was derived from a structure optimized by DFT (PBE), using Cu Kα (λ = 1.5418 Å).
Intensities are scaled so that the largest is 100.

Most intense lines, 2θ from 10° to 90°, sorted by position:
d (Å)	Position (°2θ)	I_rel
6.706	13.20	32
3.353	26.59	34
3.182	28.04	100
3.157	28.26	91
3.139	28.43	26
2.470	36.37	22
2.442	36.81	39
2.072	43.69	41
1.906	47.72	31
1.740	52.60	21

Crystal structure
```
AcLaCo
1.0
7.550 -2.078 0.000
7.550 2.078 0.000
-3.295 0.000 6.369
Ac La Co
2 2 2
direct
0.134 0.134 0.303 Ac
0.866 0.866 0.697 Ac
0.358 0.358 0.188 La
0.642 0.642 0.812 La
0.247 0.247 0.756 Co
0.753 0.753 0.244 Co
```